[1]
Rb2PdC4N4O: simulated powder diffraction line list (Cu Kα (λ = 1.5418 Å)), based on a cell relaxed with GGA-PBE.
Neutral-atom scattering factors, no anomalous dispersion.

Main lines, by angle (2θ from 5° to 70°):
2θ = 10.9°, 8.096 Å, intensity 24, hkl 0 1 1; 2θ = 19.4°, 4.582 Å, intensity 28, hkl 1 1 2; 2θ = 22.0°, 4.048 Å, intensity 46, hkl 0 2 2; 2θ = 22.2°, 4.008 Å, intensity 39, hkl 1 2 1; 2θ = 22.4°, 3.968 Å, intensity 29, hkl 1 0 3; 2θ = 25.6°, 3.480 Å, intensity 100, hkl 2 1 1; 2θ = 26.4°, 3.372 Å, intensity 29, hkl 2 0 2; 2θ = 36.0°, 2.493 Å, intensity 27, hkl 0 4 0; 2θ = 36.3°, 2.477 Å, intensity 32, hkl 2 3 1; 2θ = 39.3°, 2.291 Å, intensity 39, hkl 2 2 4

Atomic structure:
```
48
Lattice="7.7162 0.0000 0.0000 0.0000 9.9672 0.0000 0.0000 0.0000 13.8799" Properties=species:S:1:pos:R:3 pbc="T T T"
Rb 1.4848 2.4918 3.4700
Rb 1.9290 0.0000 8.3196
Rb 1.9290 4.9836 12.5003
Rb 2.3733 7.4754 3.4700
Rb 5.3429 2.4918 10.4099
Rb 5.7871 0.0000 5.5603
Rb 5.7871 4.9836 1.3796
Rb 6.2314 7.4754 10.4099
Pd 0.0000 0.0000 0.0000
Pd 0.0000 4.9836 6.9400
Pd 3.8581 0.0000 0.0000
Pd 3.8581 4.9836 6.9400
C 0.0175 5.2721 4.9645
C 0.0175 9.6787 1.9754
C 0.2386 1.9635 0.2802
C 0.2386 3.0201 6.6597
C 3.6195 6.9471 6.6597
C 3.6195 8.0037 0.2802
C 3.8406 0.2885 1.9754
C 3.8406 4.6951 4.9645
C 3.8756 5.2721 8.9154
C 3.8756 9.6787 11.9045
C 4.0967 1.9635 13.5997
C 4.0967 3.0201 7.2202
C 7.4776 6.9471 7.2202
C 7.4776 8.0037 13.5997
C 7.6987 0.2885 11.9045
C 7.6987 4.6951 8.9154
N 0.0866 5.4171 3.7994
N 0.0866 9.5337 3.1406
N 0.3764 1.8725 6.4597
N 0.3764 3.1111 0.4803
N 3.4817 6.8561 0.4803
N 3.4817 8.0947 6.4597
N 3.7715 0.4335 3.1406
N 3.7715 4.5501 3.7994
N 3.9447 5.4171 10.0805
N 3.9447 9.5337 10.7393
N 4.2345 1.8725 7.4202
N 4.2345 3.1111 13.3996
N 7.3398 6.8561 13.3996
N 7.3398 8.0947 7.4202
N 7.6296 0.4335 10.7393
N 7.6296 4.5501 10.0805
O 1.6792 7.4754 10.4099
O 2.1789 2.4918 10.4099
O 5.5373 7.4754 3.4700
O 6.0370 2.4918 3.4700
```

---

[2]
Pr2CN2O2: simulated powder diffraction line list (Cu Kα (λ = 1.5418 Å)), based on a cell relaxed with GGA-PBE.
Neutral-atom scattering factors, no anomalous dispersion.

Main lines, by angle (2θ from 5° to 70°):
2θ = 10.5°, 8.409 Å, intensity 41, hkl 0 0 1; 2θ = 21.1°, 4.204 Å, intensity 19, hkl 0 0 2; 2θ = 28.1°, 3.178 Å, intensity 100, hkl 0 1 1; 2θ = 31.9°, 2.803 Å, intensity 17, hkl 0 0 3; 2θ = 33.7°, 2.659 Å, intensity 40, hkl 1 0 2; 2θ = 41.6°, 2.171 Å, intensity 22, hkl 0 1 3; 2θ = 45.8°, 1.981 Å, intensity 30, hkl 1 1 0; 2θ = 50.9°, 1.793 Å, intensity 35, hkl 0 1 4; 2θ = 54.6°, 1.681 Å, intensity 18, hkl 2 0 1; 2θ = 56.9°, 1.618 Å, intensity 19, hkl 1 1 3

Atomic structure:
```
7
Lattice="3.9629 0.0000 0.0000 -1.9814 3.4320 0.0000 0.0000 0.0000 8.4089" Properties=species:S:1:pos:R:3 pbc="T T T"
Pr 0.0000 2.2880 2.6810
Pr 1.9815 1.1440 5.7279
C 0.0000 0.0000 0.0000
N 0.0000 0.0000 1.2378
N 0.0000 0.0000 7.1711
O 0.0000 2.2880 5.0765
O 1.9815 1.1440 3.3324
```